Simulated powder X-ray diffraction pattern
Compound: CaCo2O4
Radiation: copper Kα
Structure: a structure optimized by DFT (PBE+U)
Lines closer than 0.1° are merged.

Top 12 peaks for 5 to 70 degrees two-theta, by angle:
d = 5.042 Å, I = 60; d = 3.193 Å, I = 21; d = 2.925 Å, I = 65; d = 2.904 Å, I = 8; d = 2.539 Å, I = 28; d = 2.517 Å, I = 100; d = 2.054 Å, I = 27; d = 1.917 Å, I = 28; d = 1.681 Å, I = 6; d = 1.597 Å, I = 53; d = 1.591 Å, I = 29; d = 1.452 Å, I = 18

Structure:
```
CaCo2O4
1.0
-2.904 2.904 5.078
2.904 -2.904 5.078
2.904 2.904 -5.078
Ca Co O
2 4 8
Direct
0.375 0.625 0.750
0.625 0.375 0.250
0.000 0.000 0.000
0.000 0.000 0.500
0.000 0.500 0.000
0.500 0.000 0.500
0.197 0.234 0.962
0.228 0.766 0.462
0.234 0.197 0.462
0.234 0.772 0.038
0.766 0.228 0.962
0.766 0.803 0.538
0.772 0.234 0.538
0.803 0.766 0.038
```


Simulated powder X-ray diffraction pattern
Compound: Ca3Co2O6
Radiation: copper Kα
Structure: a structure optimized by DFT (PBE+U)
Lines closer than 0.1° are merged.

Top 12 peaks for 5 to 70 degrees two-theta, by angle:
d = 4.588 Å, I = 98; d = 2.815 Å, I = 18; d = 2.802 Å, I = 31; d = 2.652 Å, I = 100; d = 2.643 Å, I = 49; d = 2.213 Å, I = 33; d = 2.202 Å, I = 17; d = 2.156 Å, I = 20; d = 1.999 Å, I = 27; d = 1.988 Å, I = 40; d = 1.932 Å, I = 24; d = 1.924 Å, I = 32

Structure:
```
Ca3Co2O6
1.0
6.350 0.000 0.000
-0.249 6.367 0.000
-0.212 -0.242 6.393
Ca Co O
6 4 12
Direct
0.000 0.000 0.000
0.132 0.501 0.870
0.267 0.364 0.374
0.501 0.867 0.139
0.637 0.731 0.641
0.770 0.232 0.511
0.141 0.864 0.503
0.386 0.117 0.758
0.628 0.367 0.011
0.884 0.615 0.253
0.101 0.160 0.676
0.172 0.699 0.211
0.301 0.832 0.801
0.341 0.197 0.043
0.429 0.035 0.471
0.469 0.401 0.713
0.595 0.531 0.301
0.670 0.071 0.837
0.798 0.665 0.961
0.842 0.901 0.341
0.926 0.329 0.170
0.971 0.567 0.549
```


Simulated powder X-ray diffraction pattern
Compound: Ca2Co2O5
Radiation: copper Kα
Structure: a structure optimized by DFT (PBE+U)
Lines closer than 0.1° are merged.

Top 12 peaks for 5 to 70 degrees two-theta, by angle:
d = 3.829 Å, I = 25; d = 3.755 Å, I = 8; d = 2.770 Å, I = 33; d = 2.707 Å, I = 100; d = 2.648 Å, I = 38; d = 2.124 Å, I = 11; d = 1.914 Å, I = 58; d = 1.587 Å, I = 17; d = 1.575 Å, I = 8; d = 1.552 Å, I = 10; d = 1.540 Å, I = 19; d = 1.354 Å, I = 15

Structure:
```
Ca2Co2O5
1.0
-7.660 2.770 2.648
7.660 -2.770 2.648
7.660 2.770 -2.648
Ca Co O
4 4 10
Direct
0.023 0.111 0.133
0.023 0.389 0.412
0.977 0.611 0.588
0.977 0.889 0.867
0.409 0.718 0.191
0.509 0.009 0.500
0.509 0.509 0.000
0.526 0.218 0.809
0.009 0.270 0.766
0.009 0.743 0.239
0.218 0.852 0.866
0.465 0.175 0.575
0.465 0.390 0.791
0.504 0.243 0.234
0.504 0.770 0.761
0.600 0.675 0.209
0.600 0.890 0.425
0.986 0.352 0.134
```


Simulated powder X-ray diffraction pattern
Compound: Ca2Co2O5
Radiation: copper Kα
Structure: a structure optimized by DFT (PBE+U)
Lines closer than 0.1° are merged.

Top 12 peaks for 5 to 70 degrees two-theta, by angle:
d = 3.731 Å, I = 22; d = 2.714 Å, I = 31; d = 2.645 Å, I = 100; d = 2.569 Å, I = 36; d = 2.292 Å, I = 12; d = 2.127 Å, I = 9; d = 1.875 Å, I = 26; d = 1.866 Å, I = 33; d = 1.553 Å, I = 13; d = 1.543 Å, I = 10; d = 1.514 Å, I = 12; d = 1.497 Å, I = 21

Structure:
```
Ca2Co2O5
1.0
5.428 0.000 0.000
0.000 10.276 0.000
0.000 0.000 3.750
Ca Co O
4 4 10
Direct
0.192 0.131 0.000
0.308 0.631 0.000
0.692 0.369 0.000
0.808 0.869 0.000
0.222 0.377 0.500
0.278 0.877 0.500
0.722 0.123 0.500
0.778 0.623 0.500
0.000 0.000 0.500
0.079 0.710 0.500
0.212 0.395 0.000
0.288 0.895 0.000
0.421 0.210 0.500
0.500 0.500 0.500
0.579 0.790 0.500
0.712 0.105 0.000
0.788 0.605 0.000
0.921 0.290 0.500
```


Simulated powder X-ray diffraction pattern
Compound: Ca2Co3O8
Radiation: copper Kα
Structure: a structure optimized by DFT (PBE+U)
Lines closer than 0.1° are merged.

Top 12 peaks for 5 to 70 degrees two-theta, by angle:
d = 5.169 Å, I = 100; d = 5.069 Å, I = 26; d = 4.244 Å, I = 25; d = 3.174 Å, I = 54; d = 2.914 Å, I = 45; d = 2.535 Å, I = 28; d = 2.399 Å, I = 47; d = 1.969 Å, I = 53; d = 1.894 Å, I = 28; d = 1.643 Å, I = 30; d = 1.549 Å, I = 25; d = 1.432 Å, I = 31

Structure:
```
Ca2Co3O8
1.0
5.493 -2.908 0.000
5.493 2.908 0.000
-1.672 0.000 4.650
Ca Co O
2 3 8
Direct
0.224 0.224 0.169
0.776 0.776 0.831
0.244 0.756 0.500
0.500 0.500 0.000
0.756 0.244 0.500
0.103 0.103 0.463
0.183 0.621 0.112
0.379 0.817 0.888
0.404 0.404 0.596
0.596 0.596 0.404
0.621 0.183 0.112
0.817 0.379 0.888
0.897 0.897 0.537
```


Simulated powder X-ray diffraction pattern
Compound: CaCo2O4
Radiation: copper Kα
Structure: a structure optimized by DFT (PBE+U)
Lines closer than 0.1° are merged.

Top 12 peaks for 5 to 70 degrees two-theta, by angle:
d = 5.089 Å, I = 100; d = 2.676 Å, I = 96; d = 2.658 Å, I = 72; d = 2.636 Å, I = 69; d = 2.545 Å, I = 28; d = 2.225 Å, I = 31; d = 2.204 Å, I = 30; d = 2.180 Å, I = 29; d = 1.711 Å, I = 36; d = 1.696 Å, I = 45; d = 1.680 Å, I = 34; d = 1.566 Å, I = 46

Structure:
```
CaCo2O4
1.0
6.193 0.000 0.000
3.058 5.423 0.000
0.121 0.208 15.284
Ca Co O
6 12 24
Direct
0.000 0.000 0.000
0.001 0.000 0.618
0.002 0.997 0.373
0.334 0.332 0.958
0.335 0.329 0.713
0.667 0.665 0.283
0.002 0.499 0.498
0.168 0.662 0.168
0.171 0.167 0.169
0.333 0.335 0.334
0.335 0.831 0.829
0.501 0.498 0.498
0.503 0.997 0.499
0.665 0.165 0.168
0.668 0.666 0.047
0.674 0.658 0.663
0.835 0.831 0.829
0.837 0.329 0.829
0.001 0.999 0.230
0.002 0.998 0.759
0.055 0.470 0.245
0.145 0.160 0.890
0.152 0.697 0.892
0.192 0.191 0.424
0.194 0.618 0.421
0.327 0.835 0.101
0.332 0.337 0.567
0.336 0.331 0.102
0.387 0.808 0.574
0.475 0.052 0.246
0.476 0.466 0.249
0.531 0.939 0.755
0.537 0.518 0.756
0.623 0.183 0.427
0.668 0.666 0.911
0.671 0.659 0.431
0.697 0.156 0.891
0.807 0.385 0.578
0.814 0.800 0.575
0.835 0.838 0.100
0.836 0.325 0.100
0.946 0.522 0.756
```


Simulated powder X-ray diffraction pattern
Compound: Ca3Co2O6
Radiation: copper Kα
Structure: a structure optimized by DFT (PBE+U)
Lines closer than 0.1° are merged.

Top 12 peaks for 5 to 70 degrees two-theta, by angle:
d = 4.566 Å, I = 71; d = 2.775 Å, I = 40; d = 2.636 Å, I = 100; d = 2.184 Å, I = 35; d = 2.147 Å, I = 22; d = 1.970 Å, I = 51; d = 1.911 Å, I = 43; d = 1.726 Å, I = 10; d = 1.715 Å, I = 9; d = 1.682 Å, I = 15; d = 1.522 Å, I = 14; d = 1.492 Å, I = 32

Structure:
```
Ca3Co2O6
1.0
4.566 2.636 3.493
-4.566 2.636 3.493
0.000 -5.272 3.493
Ca Co O
6 4 12
Direct
0.119 0.750 0.381
0.250 0.619 0.881
0.381 0.119 0.750
0.619 0.881 0.250
0.750 0.381 0.119
0.881 0.250 0.619
0.000 0.000 0.000
0.250 0.250 0.250
0.500 0.500 0.500
0.750 0.750 0.750
0.038 0.906 0.710
0.094 0.290 0.962
0.210 0.406 0.538
0.290 0.962 0.094
0.406 0.538 0.210
0.462 0.790 0.594
0.538 0.210 0.406
0.594 0.462 0.790
0.710 0.038 0.906
0.790 0.594 0.462
0.906 0.710 0.038
0.962 0.094 0.290
```


Simulated powder X-ray diffraction pattern
Compound: CaCo2O4
Radiation: copper Kα
Structure: a structure optimized by DFT (PBE+U)
Lines closer than 0.1° are merged.

Top 12 peaks for 5 to 70 degrees two-theta, by angle:
d = 5.304 Å, I = 55; d = 3.179 Å, I = 43; d = 2.727 Å, I = 59; d = 2.646 Å, I = 100; d = 2.608 Å, I = 71; d = 2.509 Å, I = 19; d = 2.202 Å, I = 58; d = 1.724 Å, I = 28; d = 1.692 Å, I = 33; d = 1.672 Å, I = 23; d = 1.589 Å, I = 49; d = 1.526 Å, I = 53

Structure:
```
CaCo2O4
1.0
3.053 1.762 5.304
-3.053 1.762 5.304
0.000 -3.525 5.304
Ca Co O
2 4 8
Direct
0.000 0.000 0.000
0.376 0.376 0.376
0.001 0.001 0.496
0.001 0.496 0.001
0.496 0.001 0.001
0.609 0.609 0.609
0.216 0.743 0.743
0.236 0.236 0.236
0.253 0.253 0.805
0.253 0.805 0.253
0.743 0.216 0.743
0.743 0.743 0.216
0.756 0.756 0.756
0.805 0.253 0.253
```